(1)
Diffraction record for Ho2Er8In. The PXRD pattern is simulated, not measured: it uses a GGA-PBE-relaxed structure and Cu Kα X-rays.

Peak list (10 most intense, 2θ = 10–90°, by angle)
d [Å]	intensity
2.948	272
2.891	177
2.741	1000
2.730	685
2.007	184
1.869	114
1.582	151
1.580	132
1.544	126
1.524	110

Structural model:
a b c (Å): 9.9662 9.9662 6.3508
angles (deg): 94.84 94.84 31.92
Positions (direct):
Ho 0.2433 0.2433 0.3347
Ho 0.7567 0.7567 0.6653
Er 0.0451 0.0451 0.2652
Er 0.1533 0.1533 0.8048
Er 0.3382 0.3382 0.8777
Er 0.4211 0.4211 0.4046
Er 0.5789 0.5789 0.5954
Er 0.6618 0.6618 0.1223
Er 0.8467 0.8467 0.1952
Er 0.9549 0.9549 0.7348
In 0.5000 0.5000 0.0000

***

(2)
Diffraction record for Ho5Er5In. The PXRD pattern is simulated, not measured: it uses a GGA-PBE-relaxed structure and Cu Kα X-rays.

Peak list (10 most intense, 2θ = 10–90°, by angle)
d [Å]	intensity
3.022	986
3.006	1000
2.902	321
2.783	276
2.645	533
2.535	393
1.901	236
1.738	379
1.503	324
1.136	292

Structural model:
a b c (Å): 6.0116 6.0116 11.1336
angles (deg): 90.00 90.00 120.00
Positions (direct):
Ho 0.0000 0.0000 0.0000
Ho 0.3333 0.6667 0.2980
Ho 0.3333 0.6667 0.7020
Ho 0.6667 0.3333 0.1764
Ho 0.6667 0.3333 0.8236
Er 0.0000 0.0000 0.2661
Er 0.0000 0.0000 0.7339
Er 0.3373 0.1687 0.5000
Er 0.8313 0.1687 0.5000
Er 0.8313 0.6627 0.5000
In 0.3333 0.6667 0.0000

***

(3)
Diffraction record for SmHoErIn. The PXRD pattern is simulated, not measured: it uses a GGA-PBE-relaxed structure and Cu Kα X-rays.

Peak list (9 most intense, 2θ = 10–90°, by angle)
d [Å]	intensity
4.452	7
3.856	12
2.726	1000
1.928	182
1.724	6
1.574	379
1.363	117
1.219	163
1.113	42

Structural model:
a b c (Å): 7.7111 7.7111 7.7111
angles (deg): 90.00 90.00 90.00
Positions (direct):
Sm 0.0000 0.0000 0.0000
Sm 0.0000 0.5000 0.5000
Sm 0.5000 0.0000 0.5000
Sm 0.5000 0.5000 0.0000
Ho 0.2500 0.2500 0.7500
Ho 0.2500 0.7500 0.2500
Ho 0.7500 0.2500 0.2500
Ho 0.7500 0.7500 0.7500
Er 0.2500 0.2500 0.2500
Er 0.2500 0.7500 0.7500
Er 0.7500 0.2500 0.7500
Er 0.7500 0.7500 0.2500
In 0.0000 0.0000 0.5000
In 0.0000 0.5000 0.0000
In 0.5000 0.0000 0.0000
In 0.5000 0.5000 0.5000

***

(4)
Diffraction record for Ho3ErIn3Te8. The PXRD pattern is simulated, not measured: it uses a GGA-PBE-relaxed structure and Cu Kα X-rays.

Peak list (10 most intense, 2θ = 10–90°, by angle)
d [Å]	intensity
7.888	150
3.186	1000
2.330	393
2.183	359
1.972	70
1.801	192
1.593	120
1.463	159
1.389	162
1.287	116

Structural model:
a b c (Å): 9.3617 9.3617 9.3617
angles (deg): 55.59 55.59 55.59
Positions (direct):
Ho 0.0000 0.5000 0.5000
Ho 0.5000 0.0000 0.5000
Ho 0.5000 0.5000 0.0000
Er 0.0000 0.0000 0.0000
In 0.0000 0.0000 0.5000
In 0.0000 0.5000 0.0000
In 0.5000 0.0000 0.0000
Te 0.2414 0.2414 0.7405
Te 0.2414 0.7405 0.2414
Te 0.2582 0.2582 0.2582
Te 0.2595 0.7586 0.7586
Te 0.7405 0.2414 0.2414
Te 0.7418 0.7418 0.7418
Te 0.7586 0.2595 0.7586
Te 0.7586 0.7586 0.2595

***

(5)
Diffraction record for Ho3Er3TlIn2. The PXRD pattern is simulated, not measured: it uses a GGA-PBE-relaxed structure and Cu Kα X-rays.

Peak list (10 most intense, 2θ = 10–90°, by angle)
d [Å]	intensity
2.905	250
2.855	1000
2.676	543
2.562	854
2.292	263
1.907	181
1.865	159
1.594	350
1.508	335
1.421	158

Structural model:
a b c (Å): 8.8740 8.8740 3.7293
angles (deg): 90.00 90.00 120.00
Positions (direct):
Ho 0.0000 0.7110 0.0000
Ho 0.2890 0.2890 0.0000
Ho 0.7110 0.0000 0.0000
Er 0.0000 0.3808 0.5000
Er 0.3808 0.0000 0.5000
Er 0.6192 0.6192 0.5000
Tl 0.0000 0.0000 0.5000
In 0.3333 0.6667 0.0000
In 0.6667 0.3333 0.0000

***

(6)
Diffraction record for Ho2ErTm5In. The PXRD pattern is simulated, not measured: it uses a GGA-PBE-relaxed structure and Cu Kα X-rays.

Peak list (10 most intense, 2θ = 10–90°, by angle)
d [Å]	intensity
3.221	123
3.190	144
2.839	304
2.713	1000
2.625	309
2.568	158
1.836	118
1.752	79
1.532	177
1.457	86

Structural model:
a b c (Å): 10.4016 10.4016 10.2729
angles (deg): 90.00 90.00 150.76
Positions (direct):
Ho 0.1162 0.8838 0.5364
Ho 0.1162 0.8838 0.9636
Ho 0.8838 0.1162 0.0364
Ho 0.8838 0.1162 0.4636
Er 0.2086 0.7914 0.2500
Er 0.7914 0.2086 0.7500
Tm 0.0090 0.9910 0.2500
Tm 0.2875 0.7125 0.5526
Tm 0.2875 0.7125 0.9474
Tm 0.3812 0.6188 0.2500
Tm 0.5000 0.5000 0.0000
Tm 0.5000 0.5000 0.5000
Tm 0.6188 0.3812 0.7500
Tm 0.7125 0.2875 0.0526
Tm 0.7125 0.2875 0.4474
Tm 0.9910 0.0090 0.7500
In 0.4036 0.5964 0.7500
In 0.5964 0.4036 0.2500

***

(7)
Diffraction record for Ho2Er5TmIn. The PXRD pattern is simulated, not measured: it uses a GGA-PBE-relaxed structure and Cu Kα X-rays.

Peak list (10 most intense, 2θ = 10–90°, by angle)
d [Å]	intensity
3.231	121
3.196	148
2.849	295
2.720	1000
2.634	312
2.577	157
1.842	117
1.546	99
1.537	178
1.462	89

Structural model:
a b c (Å): 10.4195 10.4195 10.3075
angles (deg): 90.00 90.00 150.71
Positions (direct):
Ho 0.1162 0.8838 0.5371
Ho 0.1162 0.8838 0.9629
Ho 0.8838 0.1162 0.0371
Ho 0.8838 0.1162 0.4629
Er 0.0096 0.9904 0.2500
Er 0.2876 0.7124 0.5531
Er 0.2876 0.7124 0.9469
Er 0.3807 0.6193 0.2500
Er 0.5000 0.5000 0.0000
Er 0.5000 0.5000 0.5000
Er 0.6193 0.3807 0.7500
Er 0.7124 0.2876 0.0531
Er 0.7124 0.2876 0.4469
Er 0.9904 0.0096 0.7500
Tm 0.2082 0.7918 0.2500
Tm 0.7918 0.2082 0.7500
In 0.4036 0.5964 0.7500
In 0.5964 0.4036 0.2500

***

(8)
Diffraction record for Ho2ErIr. The PXRD pattern is simulated, not measured: it uses a GGA-PBE-relaxed structure and Cu Kα X-rays.

Peak list (10 most intense, 2θ = 10–90°, by angle)
d [Å]	intensity
5.984	262
2.860	572
2.782	372
2.691	603
2.659	1000
2.495	290
2.335	517
1.941	276
1.575	240
1.516	251

Structural model:
a b c (Å): 3.8829 11.9671 9.0402
angles (deg): 90.00 90.00 90.00
Positions (direct):
Ho 0.0000 0.1416 0.0660
Ho 0.0000 0.1416 0.4340
Ho 0.0000 0.8584 0.5660
Ho 0.0000 0.8584 0.9340
Ho 0.5000 0.3584 0.5660
Ho 0.5000 0.3584 0.9340
Ho 0.5000 0.6416 0.0660
Ho 0.5000 0.6416 0.4340
Er 0.0000 0.4260 0.2500
Er 0.0000 0.5740 0.7500
Er 0.5000 0.0740 0.7500
Er 0.5000 0.9260 0.2500
Ir 0.0000 0.2460 0.7500
Ir 0.0000 0.7540 0.2500
Ir 0.5000 0.2540 0.2500
Ir 0.5000 0.7460 0.7500

***

(9)
Diffraction record for HoEr3Ir2. The PXRD pattern is simulated, not measured: it uses a GGA-PBE-relaxed structure and Cu Kα X-rays.

Peak list (10 most intense, 2θ = 10–90°, by angle)
d [Å]	intensity
3.932	1000
3.021	225
2.552	625
2.428	480
2.419	483
2.378	928
2.277	258
1.865	211
1.748	218
1.408	362

Structural model:
a b c (Å): 8.3067 8.3067 8.3067
angles (deg): 132.41 71.32 130.23
Positions (direct):
Ho 0.0000 0.0000 0.0000
Ho 0.5000 0.5000 0.0000
Er 0.0157 0.2500 0.7657
Er 0.2500 0.7500 0.5000
Er 0.4843 0.2500 0.2343
Er 0.5157 0.7500 0.7657
Er 0.7500 0.2500 0.5000
Er 0.9843 0.7500 0.2343
Ir 0.1383 0.7127 0.8509
Ir 0.3617 0.2127 0.5744
Ir 0.6383 0.7873 0.4256
Ir 0.8617 0.2873 0.1491

***

(10)
Diffraction record for Ho3ErIr8. The PXRD pattern is simulated, not measured: it uses a GGA-PBE-relaxed structure and Cu Kα X-rays.

Peak list (10 most intense, 2θ = 10–90°, by angle)
d [Å]	intensity
4.365	102
2.673	225
2.280	1000
2.183	453
1.890	72
1.543	85
1.455	328
1.337	293
1.153	89
1.140	178

Structural model:
a b c (Å): 9.2552 9.2552 9.2552
angles (deg): 33.59 33.59 33.59
Positions (direct):
Ho 0.0000 0.0000 0.0000
Ho 0.1250 0.1250 0.1250
Ho 0.5002 0.5002 0.5002
Er 0.6251 0.6251 0.6251
Ir 0.0624 0.5625 0.5625
Ir 0.0626 0.0626 0.5627
Ir 0.0626 0.5627 0.0626
Ir 0.3126 0.3126 0.3126
Ir 0.5625 0.0624 0.5625
Ir 0.5627 0.0626 0.0626
Ir 0.5625 0.5625 0.0624
Ir 0.8126 0.8126 0.8126

***

(11)
Diffraction record for HoErIrPb. The PXRD pattern is simulated, not measured: it uses a GGA-PBE-relaxed structure and Cu Kα X-rays.

Peak list (10 most intense, 2θ = 10–90°, by angle)
d [Å]	intensity
2.622	1000
2.458	489
2.113	66
1.996	71
1.738	174
1.549	127
1.449	329
1.311	74
1.113	113
1.099	84

Structural model:
a b c (Å): 3.4767 3.4767 7.9824
angles (deg): 90.00 90.00 90.00
Positions (direct):
Ho 0.0000 0.0000 0.0000
Er 0.0000 0.0000 0.5922
Ir 0.5000 0.5000 0.7945
Pb 0.5000 0.5000 0.2974

***

(12)
Diffraction record for HoErSiIr. The PXRD pattern is simulated, not measured: it uses a GGA-PBE-relaxed structure and Cu Kα X-rays.

Peak list (10 most intense, 2θ = 10–90°, by angle)
d [Å]	intensity
5.251	179
2.760	1000
2.676	403
2.625	239
2.215	487
2.186	209
2.076	226
1.974	194
1.589	169
1.431	138

Structural model:
a b c (Å): 3.9485 4.1516 10.5013
angles (deg): 90.00 90.00 90.00
Positions (direct):
Ho 0.0000 0.0000 0.0000
Ho 0.0000 0.5000 0.5000
Er 0.5000 0.0000 0.2835
Er 0.5000 0.5000 0.7835
Si 0.5000 0.0000 0.5753
Si 0.5000 0.5000 0.0753
Ir 0.0000 0.0000 0.7196
Ir 0.0000 0.5000 0.2196

***

(13)
Diffraction record for K4Ho3ErTe8. The PXRD pattern is simulated, not measured: it uses a GGA-PBE-relaxed structure and Cu Kα X-rays.

Peak list (10 most intense, 2θ = 10–90°, by angle)
d [Å]	intensity
8.237	495
3.284	1000
2.610	202
2.416	346
2.238	369
2.160	118
1.944	130
1.850	191
1.516	108
1.426	161

Structural model:
a b c (Å): 8.9535 8.9535 9.7290
angles (deg): 117.44 117.44 60.00
Positions (direct):
K 0.0000 0.0000 0.0000
K 0.0000 0.5000 0.0000
K 0.5000 0.0000 0.0000
K 0.5000 0.5000 0.0000
Ho 0.0000 0.0000 0.5000
Ho 0.0000 0.5000 0.5000
Ho 0.5000 0.0000 0.5000
Er 0.5000 0.5000 0.5000
Te 0.2360 0.2360 0.7077
Te 0.2367 0.7355 0.7073
Te 0.2645 0.2645 0.2927
Te 0.2645 0.7633 0.2927
Te 0.7355 0.2367 0.7073
Te 0.7355 0.7355 0.7073
Te 0.7633 0.2645 0.2927
Te 0.7640 0.7640 0.2923